The following is a calculated X-ray powder pattern of Er2Se3O12. It was derived from a structure optimized by DFT (PBE), using CuKα.

Crystal structure
```
data_Er2Se3O12
_space_group_name_H-M_alt 'C 1 2 1'
_space_group_IT_number 5
_cell_length_a 12.5810
_cell_length_b 7.3742
_cell_length_c 6.4009
_cell_angle_alpha 90.00
_cell_angle_beta 107.76
_cell_angle_gamma 90.00
loop_
_space_group_symop_operation_xyz
'x,y,z'
'-x,y,-z'
'x+1/2,y+1/2,z'
'-x+1/2,y+1/2,-z'
loop_
_atom_site_label
_atom_site_fract_x
_atom_site_fract_y
_atom_site_fract_z
_atom_site_occupancy
Er1 0.2036 0.0000 0.3414 1
Se1 0.0000 0.2819 0.5000 1
Se2 0.1465 0.5689 0.0113 1
O1 0.0423 0.1533 0.3230 1
O2 0.0842 0.7568 0.9058 1
O3 0.1050 0.4179 0.6326 1
O4 0.1928 0.7363 0.5008 1
O5 0.2254 0.0725 0.0281 1
O6 0.2381 0.6582 0.3293 1
```

Most intense lines, 2θ = 5–70°, in order of rising 2θ:
- (2 0 0), 2θ 14.79, I 608
- (1 1 -1), 2θ 18.59, I 506
- (1 1 1), 2θ 21.88, I 1000
- (0 2 0), 2θ 24.14, I 293
- (2 2 0), 2θ 28.43, I 528
- (4 0 -1), 2θ 28.93, I 497
- (1 1 -2), 2θ 30.48, I 566
- (3 1 1), 2θ 32.66, I 388